The following is a simulated PXRD pattern of SrH16O10. It was derived from DFT lattice parameters and positions (GGA-PBE), using CuKα.
Lines closer than 0.1° are merged.

Atomic structure:
Cell lengths 6.202, 6.204, 6.960 Å; angles 90.03, 90.09, 90.01 degrees
Space group P-1 (No. 2)
Inequivalent atoms, fractional coordinates:
Sr 0.000 0.000 0.000 [1 per cell]
H 0.062 0.739 0.317 [2 per cell]
H 0.075 0.735 0.690 [2 per cell]
H 0.255 0.071 0.319 [2 per cell]
H 0.272 0.065 0.693 [2 per cell]
H 0.316 0.672 0.320 [2 per cell]
H 0.324 0.324 0.318 [2 per cell]
H 0.328 0.668 0.690 [2 per cell]
H 0.336 0.319 0.688 [2 per cell]
O 0.206 0.781 0.270 [2 per cell]
O 0.215 0.214 0.269 [2 per cell]
O 0.218 0.775 0.741 [2 per cell]
O 0.229 0.209 0.740 [2 per cell]
O 0.496 0.501 0.393 [2 per cell]

The 12 most intense peaks (10° ≤ 2θ ≤ 90°), most intense first:
2θ/deg	Rel. int.	hkl
19.2	100.0	1 0 1
20.2	59.4	1 1 0
38.9	50.9	0 2 2
14.3	49.1	1 0 0
34.8	46.9	-2 1 1
41.2	26.1	2 2 0
41.6	20.9	1 2 -2
32.9	15.8	1 -1 2
24.0	15.3	1 -1 1
38.9	15.0	2 0 2
31.6	13.0	2 0 -1
53.6	11.5	1 3 -2

=====

The following is a simulated PXRD pattern of SrH16O10. It was derived from DFT lattice parameters and positions (GGA-PBE), using CuKα.
Lines closer than 0.1° are merged.

Atomic structure:
Cell lengths 6.391, 6.433, 11.449 Å; angles 88.21, 88.58, 87.70 degrees
Space group P1 (No. 1)
Inequivalent atoms, fractional coordinates:
Sr 0.000 0.000 0.000 [1 per cell]
Sr 0.014 0.040 0.532 [1 per cell]
H 0.036 0.577 0.638 [1 per cell]
H 0.043 0.401 0.360 [1 per cell]
H 0.143 0.690 0.796 [1 per cell]
H 0.203 0.237 0.221 [1 per cell]
H 0.224 0.805 0.300 [1 per cell]
H 0.279 0.611 0.906 [1 per cell]
H 0.279 0.625 0.618 [1 per cell]
H 0.282 0.376 0.402 [1 per cell]
H 0.319 0.693 0.415 [1 per cell]
H 0.325 0.932 0.146 [1 per cell]
H 0.326 0.160 0.792 [1 per cell]
H 0.330 0.325 0.109 [1 per cell]
H 0.350 0.682 0.117 [1 per cell]
H 0.396 0.285 0.903 [1 per cell]
H 0.401 0.298 0.616 [1 per cell]
H 0.467 0.055 0.631 [1 per cell]
H 0.546 0.974 0.883 [1 per cell]
H 0.611 0.734 0.902 [1 per cell]
H 0.613 0.743 0.612 [1 per cell]
H 0.625 0.276 0.420 [1 per cell]
H 0.645 0.293 0.121 [1 per cell]
H 0.664 0.658 0.102 [1 per cell]
H 0.672 0.043 0.153 [1 per cell]
H 0.684 0.861 0.725 [1 per cell]
H 0.720 0.583 0.393 [1 per cell]
H 0.725 0.404 0.908 [1 per cell]
H 0.725 0.421 0.620 [1 per cell]
H 0.732 0.166 0.313 [1 per cell]
H 0.806 0.707 0.208 [1 per cell]
H 0.860 0.348 0.734 [1 per cell]
H 0.957 0.686 0.376 [1 per cell]
H 0.968 0.459 0.893 [1 per cell]
O 0.136 0.675 0.883 [1 per cell]
O 0.136 0.691 0.644 [1 per cell]
O 0.162 0.297 0.375 [1 per cell]
O 0.203 0.797 0.387 [1 per cell]
O 0.237 0.208 0.137 [1 per cell]
O 0.253 0.799 0.148 [1 per cell]
O 0.336 0.148 0.879 [1 per cell]
O 0.344 0.156 0.639 [1 per cell]
O 0.493 0.515 0.450 [1 per cell]
O 0.496 0.493 0.070 [1 per cell]
O 0.498 0.520 0.580 [1 per cell]
O 0.502 0.502 0.939 [1 per cell]
O 0.669 0.872 0.876 [1 per cell]
O 0.676 0.875 0.637 [1 per cell]
O 0.713 0.150 0.399 [1 per cell]
O 0.741 0.178 0.154 [1 per cell]
O 0.762 0.766 0.130 [1 per cell]
O 0.853 0.596 0.342 [1 per cell]
O 0.868 0.361 0.646 [1 per cell]
O 0.870 0.343 0.884 [1 per cell]

The 12 most intense peaks (10° ≤ 2θ ≤ 90°), most intense first:
2θ/deg	Rel. int.	hkl
13.8	100.0	1 0 0
15.5	97.1	0 0 2
25.3	94.8	1 1 -2
19.2	53.3	1 1 0
24.3	45.5	1 1 2
25.4	45.0	1 -1 2
20.0	44.4	1 -1 0
32.4	44.4	0 2 -2
21.1	35.9	0 1 -2
31.5	35.2	0 2 2
43.0	33.1	0 2 -4
45.2	31.9	1 -3 0

=====

The following is a simulated PXRD pattern of SrH16O10. It was derived from DFT lattice parameters and positions (GGA-PBE), using CuKα.
Lines closer than 0.1° are merged.

Atomic structure:
Cell lengths 9.057, 9.391, 6.066 Å; angles 90.00, 92.28, 90.00 degrees
Space group C2 (No. 5)
Inequivalent atoms, fractional coordinates:
Sr 0.000 0.000 0.000 [2 per cell]
H 0.007 0.678 0.801 [4 per cell]
H 0.022 0.348 0.806 [4 per cell]
H 0.060 0.229 0.336 [4 per cell]
H 0.083 0.785 0.637 [4 per cell]
H 0.165 0.523 0.209 [4 per cell]
H 0.176 0.530 0.789 [4 per cell]
H 0.199 0.130 0.724 [4 per cell]
H 0.231 0.021 0.430 [4 per cell]
O 0.001 0.511 0.877 [4 per cell]
O 0.008 0.781 0.748 [4 per cell]
O 0.031 0.246 0.751 [4 per cell]
O 0.223 0.044 0.270 [4 per cell]
O 0.227 0.029 0.730 [4 per cell]

The 12 most intense peaks (10° ≤ 2θ ≤ 90°), most intense first:
2θ/deg	Rel. int.	hkl
19.6	100.0	2 0 0
24.0	95.4	0 2 1
14.6	90.3	0 0 1
13.6	87.7	1 1 0
18.9	75.5	0 2 0
41.3	70.3	2 2 2
40.0	61.3	2 2 -2
30.8	59.2	2 2 -1
25.0	51.6	2 0 1
38.3	44.4	0 4 0
39.8	38.9	4 0 0
31.5	30.9	2 2 1

=====

The following is a simulated PXRD pattern of SrH16O10. It was derived from DFT lattice parameters and positions (GGA-PBE), using CuKα.
Lines closer than 0.1° are merged.

Atomic structure:
Cell lengths 6.203, 6.289, 11.404 Å; angles 89.55, 89.21, 89.37 degrees
Space group P1 (No. 1)
Inequivalent atoms, fractional coordinates:
Sr 0.000 0.000 0.000 [1 per cell]
Sr 0.014 0.018 0.498 [1 per cell]
H 0.051 0.576 0.656 [1 per cell]
H 0.075 0.618 0.343 [1 per cell]
H 0.185 0.263 0.218 [1 per cell]
H 0.198 0.260 0.784 [1 per cell]
H 0.265 0.819 0.211 [1 per cell]
H 0.266 0.814 0.778 [1 per cell]
H 0.277 0.384 0.107 [1 per cell]
H 0.287 0.386 0.891 [1 per cell]
H 0.289 0.614 0.600 [1 per cell]
H 0.315 0.652 0.383 [1 per cell]
H 0.386 0.716 0.101 [1 per cell]
H 0.391 0.719 0.887 [1 per cell]
H 0.395 0.284 0.601 [1 per cell]
H 0.399 0.308 0.385 [1 per cell]
H 0.450 0.048 0.642 [1 per cell]
H 0.450 0.073 0.345 [1 per cell]
H 0.542 0.025 0.128 [1 per cell]
H 0.566 0.044 0.847 [1 per cell]
H 0.612 0.262 0.104 [1 per cell]
H 0.618 0.276 0.890 [1 per cell]
H 0.618 0.719 0.603 [1 per cell]
H 0.633 0.748 0.390 [1 per cell]
H 0.719 0.384 0.615 [1 per cell]
H 0.723 0.613 0.109 [1 per cell]
H 0.726 0.619 0.891 [1 per cell]
H 0.749 0.440 0.410 [1 per cell]
H 0.749 0.812 0.710 [1 per cell]
H 0.755 0.848 0.281 [1 per cell]
H 0.801 0.251 0.724 [1 per cell]
H 0.959 0.556 0.148 [1 per cell]
H 0.960 0.467 0.482 [1 per cell]
H 0.965 0.568 0.852 [1 per cell]
O 0.140 0.318 0.140 [1 per cell]
O 0.149 0.690 0.630 [1 per cell]
O 0.151 0.320 0.860 [1 per cell]
O 0.183 0.731 0.351 [1 per cell]
O 0.316 0.854 0.129 [1 per cell]
O 0.323 0.855 0.856 [1 per cell]
O 0.327 0.150 0.635 [1 per cell]
O 0.327 0.172 0.357 [1 per cell]
O 0.500 0.500 0.063 [1 per cell]
O 0.502 0.510 0.560 [1 per cell]
O 0.506 0.500 0.934 [1 per cell]
O 0.516 0.522 0.428 [1 per cell]
O 0.671 0.117 0.121 [1 per cell]
O 0.687 0.144 0.855 [1 per cell]
O 0.690 0.855 0.633 [1 per cell]
O 0.703 0.884 0.361 [1 per cell]
O 0.852 0.315 0.649 [1 per cell]
O 0.859 0.680 0.138 [1 per cell]
O 0.862 0.689 0.859 [1 per cell]
O 0.912 0.399 0.410 [1 per cell]

The 12 most intense peaks (10° ≤ 2θ ≤ 90°), most intense first:
2θ/deg	Rel. int.	hkl
25.6	100.0	1 1 -2
15.5	97.2	0 0 2
32.7	76.9	0 2 -2
25.2	54.7	1 1 2
14.3	53.0	1 0 0
14.1	52.9	0 1 0
33.1	51.6	2 0 -2
45.5	48.4	1 3 0
25.7	46.4	-1 1 2
20.2	45.4	1 -1 0
21.0	41.6	1 0 2
20.0	38.9	1 1 0

=====

The following is a simulated PXRD pattern of SrH16O10. It was derived from DFT lattice parameters and positions (GGA-PBE), using CuKα.
Lines closer than 0.1° are merged.

Atomic structure:
Cell lengths 5.727, 6.396, 6.806 Å; angles 92.84, 90.19, 93.18 degrees
Space group P-1 (No. 2)
Inequivalent atoms, fractional coordinates:
Sr 0.000 0.000 0.000 [1 per cell]
H 0.202 0.643 0.692 [2 per cell]
H 0.203 0.325 0.692 [2 per cell]
H 0.215 0.673 0.358 [2 per cell]
H 0.217 0.312 0.367 [2 per cell]
H 0.278 0.615 0.912 [2 per cell]
H 0.279 0.921 0.323 [2 per cell]
H 0.434 0.243 0.784 [2 per cell]
H 0.437 0.227 0.244 [2 per cell]
O 0.130 0.503 0.508 [2 per cell]
O 0.263 0.253 0.807 [2 per cell]
O 0.264 0.725 0.819 [2 per cell]
O 0.271 0.191 0.278 [2 per cell]
O 0.273 0.779 0.258 [2 per cell]

The 12 most intense peaks (10° ≤ 2θ ≤ 90°), most intense first:
2θ/deg	Rel. int.	hkl
19.6	100.0	0 1 1
18.6	97.2	0 1 -1
15.5	94.9	1 0 0
24.7	87.6	1 1 -1
30.7	83.9	1 0 2
41.2	76.6	2 0 -2
24.5	73.3	-1 1 1
13.0	70.7	0 0 1
39.7	59.4	0 2 2
37.7	54.5	0 2 -2
31.3	53.9	1 -2 0
13.9	47.3	0 1 0